Diffraction record for Nd2AlPd5. The powder diffractogram is calculated, not measured: it uses the GGA-PBE geometry in Alexandria and a wavelength of 1.5418 Å.
Intensities are scaled so that the largest is 100.

Crystal structure
abc: 6.0504 6.0504 6.0504
angles: 117.72 117.72 94.00
Fractional positions:
Nd 0.0000 0.5000 0.5000
Nd 0.5000 0.0000 0.5000
Al 0.2040 0.2040 0.0000
Pd 0.5084 0.5084 0.0000
Pd 0.5296 0.5296 0.5498
Pd 0.5296 0.9798 0.0000
Pd 0.9798 0.5296 0.0000
Pd 0.9798 0.9798 0.4502

The 12 most intense peaks (10 to 90 degrees two-theta), in order of rising 2θ:
4.986 Å, 2θ 17.79, rel. 11; 4.425 Å, 2θ 20.07, rel. 7; 3.018 Å, 2θ 29.60, rel. 13; 2.650 Å, 2θ 33.82, rel. 7; 2.493 Å, 2θ 36.02, rel. 100; 2.213 Å, 2θ 40.78, rel. 38; 2.063 Å, 2θ 43.88, rel. 16; 1.564 Å, 2θ 59.04, rel. 11; 1.509 Å, 2θ 61.45, rel. 21; 1.325 Å, 2θ 71.15, rel. 22; 1.259 Å, 2θ 75.51, rel. 12; 1.247 Å, 2θ 76.40, rel. 10

=====

Diffraction record for Cs2KTlI4. The powder diffractogram is calculated, not measured: it uses the GGA-PBE geometry in Alexandria and a wavelength of 1.5418 Å.
Intensities are scaled so that the largest is 100.

Crystal structure
abc: 9.1467 5.2838 9.1836
angles: 90.00 109.36 90.00
Fractional positions:
Cs 0.0000 0.0000 0.0000
Cs 0.5000 0.5000 0.0000
K 0.0000 0.5000 0.5000
Tl 0.5000 0.0000 0.5000
I 0.2422 0.0000 0.7255
I 0.2588 0.5000 0.2752
I 0.7412 0.5000 0.7248
I 0.7578 0.0000 0.2745

The 12 most intense peaks (10 to 90 degrees two-theta), in order of rising 2θ:
8.634 Å, 2θ 10.25, rel. 6; 3.741 Å, 2θ 23.79, rel. 100; 2.647 Å, 2θ 33.86, rel. 51; 2.641 Å, 2θ 33.95, rel. 27; 2.166 Å, 2θ 41.70, rel. 6; 2.158 Å, 2θ 41.87, rel. 22; 1.870 Å, 2θ 48.68, rel. 13; 1.675 Å, 2θ 54.81, rel. 17; 1.671 Å, 2θ 54.95, rel. 20; 1.526 Å, 2θ 60.70, rel. 21; 1.247 Å, 2θ 76.38, rel. 6; 1.245 Å, 2θ 76.50, rel. 7

=====

Diffraction record for RbNaIO4. The powder diffractogram is calculated, not measured: it uses the GGA-PBE geometry in Alexandria and a wavelength of 1.5418 Å.
Intensities are scaled so that the largest is 100.

Crystal structure
abc: 5.0433 6.3953 8.4545
angles: 90.00 104.73 90.00
Fractional positions:
Rb 0.1127 0.2500 0.1458
Rb 0.8873 0.7500 0.8542
Na 0.2417 0.7500 0.5364
Na 0.7583 0.2500 0.4636
I 0.4000 0.2500 0.7416
I 0.6000 0.7500 0.2584
O 0.2283 0.7500 0.2415
O 0.2659 0.2500 0.5173
O 0.3489 0.5409 0.7788
O 0.3489 0.9591 0.7788
O 0.6511 0.0409 0.2212
O 0.6511 0.4591 0.2212
O 0.7341 0.7500 0.4827
O 0.7717 0.2500 0.7585

The 12 most intense peaks (10 to 90 degrees two-theta), in order of rising 2θ:
5.038 Å, 2θ 17.61, rel. 34; 4.088 Å, 2θ 21.74, rel. 69; 3.878 Å, 2θ 22.93, rel. 46; 3.815 Å, 2θ 23.31, rel. 57; 3.619 Å, 2θ 24.60, rel. 57; 3.258 Å, 2θ 27.37, rel. 100; 3.198 Å, 2θ 27.90, rel. 84; 3.149 Å, 2θ 28.34, rel. 39; 2.519 Å, 2θ 35.64, rel. 67; 2.507 Å, 2θ 35.81, rel. 46; 2.396 Å, 2θ 37.53, rel. 30; 1.979 Å, 2θ 45.86, rel. 33

=====

Diffraction record for PuMnMo. The powder diffractogram is calculated, not measured: it uses the GGA-PBE geometry in Alexandria and a wavelength of 1.5418 Å.
Intensities are scaled so that the largest is 100.

Crystal structure
abc: 4.4922 5.0880 5.3225
angles: 95.06 111.77 114.62
Fractional positions:
Pu 0.2005 0.2101 0.2769
Pu 0.7995 0.7899 0.7231
Mn 0.4720 0.0519 0.7441
Mn 0.5280 0.9481 0.2559
Mo 0.1085 0.4647 0.7709
Mo 0.8915 0.5353 0.2291

The 12 most intense peaks (10 to 90 degrees two-theta), in order of rising 2θ:
3.892 Å, 2θ 22.85, rel. 30; 3.837 Å, 2θ 23.18, rel. 94; 2.852 Å, 2θ 31.37, rel. 41; 2.587 Å, 2θ 34.67, rel. 23; 2.571 Å, 2θ 34.90, rel. 28; 2.367 Å, 2θ 38.01, rel. 79; 2.317 Å, 2θ 38.87, rel. 63; 2.240 Å, 2θ 40.25, rel. 54; 2.232 Å, 2θ 40.41, rel. 61; 2.204 Å, 2θ 40.95, rel. 100; 1.946 Å, 2θ 46.68, rel. 19; 1.683 Å, 2θ 54.53, rel. 40

=====

Diffraction record for RbSi2Pt2. The powder diffractogram is calculated, not measured: it uses the GGA-PBE geometry in Alexandria and a wavelength of 1.5418 Å.
Intensities are scaled so that the largest is 100.

Crystal structure
abc: 6.1193 6.1225 7.2518
angles: 105.47 105.46 110.81
Fractional positions:
Rb 0.1245 0.3763 0.2507
Rb 0.8755 0.6237 0.7493
Si 0.2386 0.2614 0.7501
Si 0.4898 0.0099 0.2499
Si 0.5102 0.9901 0.7501
Si 0.7614 0.7386 0.2499
Pt 0.2145 0.9661 0.4310
Pt 0.4660 0.7144 0.9310
Pt 0.5340 0.2856 0.0690
Pt 0.7855 0.0339 0.5690

The 12 most intense peaks (10 to 90 degrees two-theta), in order of rising 2θ:
5.241 Å, 2θ 16.92, rel. 25; 5.206 Å, 2θ 17.03, rel. 26; 3.436 Å, 2θ 25.93, rel. 69; 3.407 Å, 2θ 26.16, rel. 67; 2.861 Å, 2θ 31.27, rel. 100; 2.519 Å, 2θ 35.64, rel. 28; 2.473 Å, 2θ 36.32, rel. 41; 2.462 Å, 2θ 36.49, rel. 42; 1.965 Å, 2θ 46.19, rel. 32; 1.747 Å, 2θ 52.37, rel. 18; 1.737 Å, 2θ 52.71, rel. 32; 1.430 Å, 2θ 65.26, rel. 19

=====

Diffraction record for Li2PBrO3. The powder diffractogram is calculated, not measured: it uses the GGA-PBE geometry in Alexandria and a wavelength of 1.5418 Å.
Intensities are scaled so that the largest is 100.

Crystal structure
abc: 7.7311 7.7311 7.7311
angles: 42.78 42.78 42.78
Fractional positions:
Li 0.0000 0.0000 0.0000
Li 0.0000 0.0000 0.5000
Li 0.0000 0.5000 0.0000
Li 0.5000 0.0000 0.0000
P 0.4254 0.4254 0.4254
P 0.5746 0.5746 0.5746
Br 0.3163 0.3163 0.3163
Br 0.6837 0.6837 0.6837
O 0.2518 0.7112 0.7112
O 0.2888 0.2888 0.7482
O 0.2888 0.7482 0.2888
O 0.7112 0.2518 0.7112
O 0.7112 0.7112 0.2518
O 0.7482 0.2888 0.2888

The 12 most intense peaks (10 to 90 degrees two-theta), in order of rising 2θ:
7.012 Å, 2θ 12.62, rel. 30; 4.757 Å, 2θ 18.65, rel. 100; 3.187 Å, 2θ 27.99, rel. 23; 2.819 Å, 2θ 31.74, rel. 56; 2.616 Å, 2θ 34.28, rel. 70; 2.559 Å, 2θ 35.06, rel. 23; 2.378 Å, 2θ 37.83, rel. 19; 2.315 Å, 2θ 38.90, rel. 45; 1.586 Å, 2θ 58.18, rel. 15; 1.511 Å, 2θ 61.37, rel. 17; 1.506 Å, 2θ 61.60, rel. 16; 1.410 Å, 2θ 66.31, rel. 17

=====

Diffraction record for Er4Cd2C. The powder diffractogram is calculated, not measured: it uses the GGA-PBE geometry in Alexandria and a wavelength of 1.5418 Å.
Intensities are scaled so that the largest is 100.

Crystal structure
abc: 8.2235 8.2235 8.2235
angles: 145.56 145.56 49.51
Fractional positions:
Er 0.0000 0.5000 0.5000
Er 0.1631 0.1631 0.0000
Er 0.5000 0.0000 0.5000
Er 0.8369 0.8369 0.0000
Cd 0.3671 0.3671 0.0000
Cd 0.6329 0.6329 0.0000
C 0.0000 0.0000 0.0000

The 12 most intense peaks (10 to 90 degrees two-theta), in order of rising 2θ:
7.468 Å, 2θ 11.85, rel. 18; 3.443 Å, 2θ 25.88, rel. 12; 3.127 Å, 2θ 28.55, rel. 80; 2.546 Å, 2θ 35.25, rel. 13; 2.531 Å, 2θ 35.46, rel. 100; 2.489 Å, 2θ 36.08, rel. 24; 2.435 Å, 2θ 36.92, rel. 67; 1.741 Å, 2θ 52.58, rel. 32; 1.722 Å, 2θ 53.20, rel. 23; 1.508 Å, 2θ 61.48, rel. 19; 1.424 Å, 2θ 65.58, rel. 33; 1.416 Å, 2θ 65.97, rel. 16

=====

Diffraction record for Dy4Er4Mg. The powder diffractogram is calculated, not measured: it uses the GGA-PBE geometry in Alexandria and a wavelength of 1.5418 Å.
Intensities are scaled so that the largest is 100.

Crystal structure
abc: 7.8022 7.8022 7.8022
angles: 95.86 95.86 142.73
Fractional positions:
Dy 0.0000 0.3335 0.3335
Dy 0.0000 0.6665 0.6665
Dy 0.3335 0.0000 0.3335
Dy 0.6665 0.0000 0.6665
Er 0.3333 0.3333 0.6666
Er 0.3333 0.6667 0.0000
Er 0.6667 0.3333 0.0000
Er 0.6667 0.6667 0.3334
Mg 0.0000 0.0000 0.0000

The 12 most intense peaks (10 to 90 degrees two-theta), in order of rising 2θ:
2.857 Å, 2θ 31.31, rel. 100; 2.493 Å, 2θ 36.03, rel. 17; 2.464 Å, 2θ 36.46, rel. 33; 1.753 Å, 2θ 52.19, rel. 24; 1.743 Å, 2θ 52.51, rel. 12; 1.500 Å, 2θ 61.85, rel. 14; 1.488 Å, 2θ 62.43, rel. 28; 1.428 Å, 2θ 65.33, rel. 12; 1.137 Å, 2θ 85.39, rel. 12; 1.131 Å, 2θ 85.90, rel. 6; 1.112 Å, 2θ 87.75, rel. 6; 1.105 Å, 2θ 88.52, rel. 6

=====

Diffraction record for Bi2Pb3F12. The powder diffractogram is calculated, not measured: it uses the GGA-PBE geometry in Alexandria and a wavelength of 1.5418 Å.
Intensities are scaled so that the largest is 100.

Crystal structure
abc: 4.2722 4.3147 17.2143
angles: 94.41 91.10 118.54
Fractional positions:
Bi 0.0000 0.0000 0.0000
Bi 0.4365 0.9720 0.2118
Pb 0.3094 0.5536 0.6145
Pb 0.6798 0.2977 0.8125
Pb 0.9203 0.8053 0.4157
F 0.0707 0.0127 0.8609
F 0.2372 0.3825 0.2069
F 0.2581 0.4719 0.4622
F 0.3648 0.6326 0.7596
F 0.4811 0.7449 0.9391
F 0.5600 0.0915 0.3594
F 0.6122 0.0333 0.0834
F 0.6542 0.2400 0.6631
F 0.8227 0.4261 0.9668
F 0.9185 0.7513 0.2722
F 0.9587 0.8673 0.5691
F 0.9851 0.7460 0.1221

The 12 most intense peaks (10 to 90 degrees two-theta), in order of rising 2θ:
3.610 Å, 2θ 24.66, rel. 49; 3.515 Å, 2θ 25.34, rel. 53; 3.427 Å, 2θ 26.00, rel. 100; 3.048 Å, 2θ 29.30, rel. 53; 2.979 Å, 2θ 30.00, rel. 24; 2.193 Å, 2θ 41.17, rel. 15; 2.176 Å, 2θ 41.50, rel. 14; 2.153 Å, 2θ 41.97, rel. 20; 2.135 Å, 2θ 42.33, rel. 19; 2.111 Å, 2θ 42.83, rel. 23; 2.071 Å, 2θ 43.72, rel. 20; 1.826 Å, 2θ 49.93, rel. 22

=====

Diffraction record for LaNdGaNi. The powder diffractogram is calculated, not measured: it uses the GGA-PBE geometry in Alexandria and a wavelength of 1.5418 Å.
Intensities are scaled so that the largest is 100.

Crystal structure
abc: 4.4125 6.1588 6.1588
angles: 36.70 90.00 90.00
Fractional positions:
La 0.0000 0.0000 0.0000
Nd 0.5000 0.2774 0.2774
Ga 0.0000 0.7087 0.7087
Ni 0.5000 0.5852 0.5852

The 12 most intense peaks (10 to 90 degrees two-theta), in order of rising 2θ:
3.522 Å, 2θ 25.29, rel. 40; 2.923 Å, 2θ 30.59, rel. 26; 2.826 Å, 2θ 31.66, rel. 100; 2.749 Å, 2θ 32.57, rel. 57; 2.437 Å, 2θ 36.89, rel. 25; 2.333 Å, 2θ 38.59, rel. 59; 2.206 Å, 2θ 40.90, rel. 30; 1.939 Å, 2θ 46.86, rel. 20; 1.782 Å, 2θ 51.25, rel. 21; 1.721 Å, 2θ 53.24, rel. 28; 1.534 Å, 2θ 60.34, rel. 17; 1.259 Å, 2θ 75.48, rel. 17

=====

Diffraction record for ZnCu6Pt5. The powder diffractogram is calculated, not measured: it uses the GGA-PBE geometry in Alexandria and a wavelength of 1.5418 Å.
Intensities are scaled so that the largest is 100.

Crystal structure
abc: 7.1261 7.1261 7.1261
angles: 148.51 117.48 71.69
Fractional positions:
Zn 0.0000 0.0000 0.0000
Cu 0.0841 0.8322 0.2519
Cu 0.2549 0.5000 0.7549
Cu 0.4197 0.1678 0.2519
Cu 0.5803 0.8322 0.7481
Cu 0.7451 0.5000 0.2451
Cu 0.9159 0.1678 0.7481
Pt 0.1567 0.6567 0.5000
Pt 0.3307 0.3307 0.0000
Pt 0.5000 0.0000 0.5000
Pt 0.6693 0.6693 0.0000
Pt 0.8433 0.3433 0.5000

The 12 most intense peaks (10 to 90 degrees two-theta), in order of rising 2θ:
3.698 Å, 2θ 24.06, rel. 18; 2.729 Å, 2θ 32.82, rel. 16; 2.196 Å, 2θ 41.11, rel. 100; 1.934 Å, 2θ 46.99, rel. 17; 1.925 Å, 2θ 47.20, rel. 16; 1.849 Å, 2θ 49.28, rel. 15; 1.364 Å, 2θ 68.80, rel. 10; 1.336 Å, 2θ 70.46, rel. 10; 1.161 Å, 2θ 83.23, rel. 13; 1.157 Å, 2θ 83.56, rel. 12; 1.123 Å, 2θ 86.67, rel. 12; 1.098 Å, 2θ 89.20, rel. 11

=====

Diffraction record for DyZn3Ga3. The powder diffractogram is calculated, not measured: it uses the GGA-PBE geometry in Alexandria and a wavelength of 1.5418 Å.
Intensities are scaled so that the largest is 100.

Crystal structure
abc: 6.8488 6.8488 6.8488
angles: 90.00 90.00 90.00
Fractional positions:
Dy 0.0000 0.0000 0.0000
Dy 0.5000 0.5000 0.5000
Zn 0.0000 0.2500 0.5000
Zn 0.0000 0.7500 0.5000
Zn 0.2500 0.5000 0.0000
Zn 0.5000 0.0000 0.2500
Zn 0.5000 0.0000 0.7500
Zn 0.7500 0.5000 0.0000
Ga 0.0000 0.5000 0.2500
Ga 0.0000 0.5000 0.7500
Ga 0.2500 0.0000 0.5000
Ga 0.5000 0.2500 0.0000
Ga 0.5000 0.7500 0.0000
Ga 0.7500 0.0000 0.5000

The 11 most intense peaks (10 to 90 degrees two-theta), in order of rising 2θ:
3.424 Å, 2θ 26.02, rel. 43; 2.796 Å, 2θ 32.01, rel. 100; 1.977 Å, 2θ 45.90, rel. 10; 1.830 Å, 2θ 49.82, rel. 57; 1.712 Å, 2θ 53.52, rel. 22; 1.531 Å, 2θ 60.45, rel. 16; 1.460 Å, 2θ 63.74, rel. 13; 1.250 Å, 2θ 76.13, rel. 16; 1.211 Å, 2θ 79.10, rel. 13; 1.141 Å, 2θ 84.97, rel. 7; 1.111 Å, 2θ 87.88, rel. 17

=====

Diffraction record for MnPdC. The powder diffractogram is calculated, not measured: it uses the GGA-PBE geometry in Alexandria and a wavelength of 1.5418 Å.
Intensities are scaled so that the largest is 100.

Crystal structure
abc: 2.8391 4.4770 4.4770
angles: 35.54 90.00 90.00
Fractional positions:
Mn 0.0000 0.0000 0.0000
Pd 0.5000 0.2677 0.2677
C 0.5000 0.5448 0.5448

The 12 most intense peaks (10 to 90 degrees two-theta), in order of rising 2θ:
4.263 Å, 2θ 20.84, rel. 18; 2.839 Å, 2θ 31.51, rel. 14; 2.602 Å, 2θ 34.46, rel. 67; 2.363 Å, 2θ 38.08, rel. 100; 2.132 Å, 2θ 42.40, rel. 43; 1.970 Å, 2θ 46.08, rel. 46; 1.918 Å, 2θ 47.39, rel. 75; 1.618 Å, 2θ 56.89, rel. 32; 1.420 Å, 2θ 65.77, rel. 14; 1.289 Å, 2θ 73.46, rel. 23; 1.183 Å, 2θ 81.35, rel. 21; 1.152 Å, 2θ 84.04, rel. 15

=====

Diffraction record for SrMn2Cl8. The powder diffractogram is calculated, not measured: it uses the GGA-PBE geometry in Alexandria and a wavelength of 1.5418 Å.
Intensities are scaled so that the largest is 100.

Crystal structure
abc: 6.9782 7.6236 7.6676
angles: 60.39 85.80 86.16
Fractional positions:
Sr 0.0000 0.0000 0.0000
Mn 0.1274 0.6744 0.6748
Mn 0.8726 0.3256 0.3252
Cl 0.1532 0.3912 0.3798
Cl 0.2167 0.9005 0.3583
Cl 0.2243 0.3584 0.8950
Cl 0.2788 0.8213 0.8177
Cl 0.7212 0.1787 0.1823
Cl 0.7757 0.6416 0.1050
Cl 0.7833 0.0995 0.6417
Cl 0.8468 0.6088 0.6202

The 12 most intense peaks (10 to 90 degrees two-theta), in order of rising 2θ:
6.955 Å, 2θ 12.73, rel. 100; 4.600 Å, 2θ 19.30, rel. 17; 3.845 Å, 2θ 23.13, rel. 20; 3.249 Å, 2θ 27.46, rel. 54; 3.059 Å, 2θ 29.20, rel. 16; 3.032 Å, 2θ 29.46, rel. 17; 2.977 Å, 2θ 30.02, rel. 13; 2.494 Å, 2θ 36.00, rel. 29; 2.484 Å, 2θ 36.16, rel. 16; 2.085 Å, 2θ 43.40, rel. 13; 1.973 Å, 2θ 46.01, rel. 13; 1.923 Å, 2θ 47.28, rel. 14